The following is a simulated powder X-ray diffraction pattern of Gd4Si3S12. It was derived from the GGA-PBE geometry in the Materials Project, using CuKα.

Cell and atoms:
Lattice parameters (Å, degrees): 18.9999 18.9999 7.8459 90.00 90.00 120.00
Space group R3c (No. 161, hexagonal axes)
Unique sites:
Gd1 0.0000 0.0000 0.0000
Gd2 0.1056 0.4351 0.4625
Si1 0.0133 0.1997 0.3446
S1 0.0455 0.4850 0.1701
S2 0.0615 0.1243 0.2513
S3 0.0648 0.3966 0.8136
S4 0.2022 0.0855 0.4978

The 10 most intense peaks (2θ = 10–90°), in order of rising 2θ:
- hkl 2 1 1, 18.2°, d 4.874, intensity 79
- hkl 4 1 0, 24.8°, d 3.591, intensity 100
- hkl 1 2 2, 26.9°, d 3.318, intensity 44
- hkl 2 3 2, 32.9°, d 2.720, intensity 47
- hkl 5 0 2, 35.6°, d 2.521, intensity 51
- hkl 4 2 2, 36.9°, d 2.437, intensity 26
- hkl 1 6 1, 37.6°, d 2.390, intensity 37
- hkl 4 4 0, 37.9°, d 2.375, intensity 40
- hkl 6 1 2, 42.8°, d 2.114, intensity 24
- hkl 5 2 3, 49.1°, d 1.856, intensity 25

=====

The following is a simulated powder X-ray diffraction pattern of USeS. It was derived from the GGA-PBE geometry in the Materials Project, using CuKα.

Cell and atoms:
Lattice parameters (Å, degrees): 7.1604 3.7582 10.2039 90.00 90.00 90.00
Space group Pnma (No. 62)
Unique sites:
U1 0.1740 0.2500 0.1687
Se1 0.1980 0.7500 0.9562
S1 0.0407 0.2500 0.7127

The 10 most intense peaks (2θ = 10–90°), in order of rising 2θ:
- hkl 1 0 1, 15.1°, d 5.861, intensity 35
- hkl 1 0 2, 21.4°, d 4.155, intensity 62
- hkl 0 1 1, 25.3°, d 3.527, intensity 79
- hkl 2 0 1, 26.4°, d 3.378, intensity 36
- hkl 1 1 2, 32.1°, d 2.787, intensity 35
- hkl 2 1 1, 35.7°, d 2.512, intensity 48
- hkl 1 0 4, 37.4°, d 2.403, intensity 54
- hkl 1 1 3, 37.8°, d 2.379, intensity 100
- hkl 2 1 2, 39.0°, d 2.311, intensity 35
- hkl 3 1 2, 48.6°, d 1.874, intensity 38

=====

The following is a simulated powder X-ray diffraction pattern of ZnIn2SnAs4. It was derived from the GGA-PBE geometry in the Materials Project, using CuKα.

Cell and atoms:
Lattice parameters (Å, degrees): 6.0832 6.0832 12.0969 90.00 90.00 90.00
Space group I-42m (No. 121)
Unique sites:
Zn1 0.0000 0.0000 0.0000
In1 0.0000 0.5000 0.2500
Sn1 0.0000 0.0000 0.5000
As1 0.2391 0.2391 0.8810

The 10 most intense peaks (2θ = 10–90°), in order of rising 2θ:
- hkl 1 1 2, 25.4°, d 3.505, intensity 100
- hkl 2 2 0, 42.0°, d 2.151, intensity 25
- hkl 2 0 4, 42.1°, d 2.145, intensity 50
- hkl 3 1 2, 49.7°, d 1.833, intensity 31
- hkl 1 1 6, 50.0°, d 1.826, intensity 15
- hkl 4 0 0, 60.9°, d 1.521, intensity 8
- hkl 3 1 6, 67.3°, d 1.392, intensity 12
- hkl 4 2 4, 76.8°, d 1.241, intensity 16
- hkl 2 2 8, 77.1°, d 1.237, intensity 8
- hkl 5 1 2, 82.4°, d 1.170, intensity 7

=====

The following is a simulated powder X-ray diffraction pattern of Eu2Ga9Rh3. It was derived from the GGA-PBE geometry in the Materials Project, using CuKα.

Cell and atoms:
Lattice parameters (Å, degrees): 13.1445 7.7080 9.8400 90.00 90.00 90.00
Space group Cmcm (No. 63)
Unique sites:
Eu1 0.1633 0.1659 0.2500
Ga1 0.0000 0.1307 0.7500
Ga2 0.0000 0.3359 0.0564
Ga3 0.1045 0.4413 0.7500
Ga4 0.1655 0.1703 0.5736
Rh1 0.0000 0.0000 0.0000
Rh2 0.1714 0.5000 0.0000

The 10 most intense peaks (2θ = 10–90°), in order of rising 2θ:
- hkl 3 1 2, 29.7°, d 3.012, intensity 19
- hkl 0 2 3, 36.0°, d 2.498, intensity 46
- hkl 3 1 3, 36.1°, d 2.486, intensity 100
- hkl 0 0 4, 36.5°, d 2.460, intensity 32
- hkl 4 2 1, 37.1°, d 2.424, intensity 18
- hkl 3 3 0, 40.7°, d 2.217, intensity 96
- hkl 6 0 0, 41.2°, d 2.191, intensity 40
- hkl 3 3 4, 55.8°, d 1.647, intensity 31
- hkl 3 5 3, 70.9°, d 1.329, intensity 16
- hkl 6 4 3, 71.2°, d 1.324, intensity 15

=====

The following is a simulated powder X-ray diffraction pattern of ScHg. It was derived from the GGA-PBE geometry in the Materials Project, using CuKα.

Cell and atoms:
Lattice parameters (Å, degrees): 3.5285 3.5285 3.5285 90.00 90.00 90.00
Space group Pm-3m (No. 221)
Unique sites:
Sc1 0.0000 0.0000 0.0000
Hg1 0.5000 0.5000 0.5000

The 9 most intense peaks (2θ = 10–90°), in order of rising 2θ:
- hkl 1 0 0, 25.2°, d 3.528, intensity 48
- hkl 1 1 0, 36.0°, d 2.495, intensity 100
- hkl 1 1 1, 44.5°, d 2.037, intensity 15
- hkl 2 0 0, 51.8°, d 1.764, intensity 18
- hkl 2 1 0, 58.5°, d 1.578, intensity 21
- hkl 2 1 1, 64.7°, d 1.440, intensity 36
- hkl 2 2 0, 76.3°, d 1.248, intensity 11
- hkl 3 0 0, 81.9°, d 1.176, intensity 11
- hkl 3 1 0, 87.4°, d 1.116, intensity 17

=====

The following is a simulated powder X-ray diffraction pattern of Mg3In. It was derived from the GGA-PBE geometry in the Materials Project, using CuKα.

Cell and atoms:
Lattice parameters (Å, degrees): 8.3493 8.3493 20.4819 90.00 90.00 120.00
Space group R-3m (No. 166, hexagonal axes)
Unique sites:
Mg1 0.0746 0.5373 0.1070
Mg2 0.0795 0.5397 0.6030
In1 0.0000 0.0000 0.1836
In2 0.0000 0.0000 0.3262

The 10 most intense peaks (2θ = 10–90°), in order of rising 2θ:
- hkl 0 1 2, 15.0°, d 5.907, intensity 43
- hkl 1 1 0, 21.3°, d 4.175, intensity 69
- hkl 0 2 4, 30.3°, d 2.953, intensity 17
- hkl 1 2 2, 33.9°, d 2.642, intensity 100
- hkl 0 1 8, 37.3°, d 2.413, intensity 38
- hkl 2 2 0, 43.3°, d 2.088, intensity 26
- hkl 3 0 6, 46.1°, d 1.969, intensity 34
- hkl 0 4 2, 51.3°, d 1.781, intensity 16
- hkl 4 1 0, 58.5°, d 1.579, intensity 23
- hkl 3 3 0, 67.3°, d 1.392, intensity 25